Starting from DFT lattice parameters and positions (PBE+U), the X-ray powder pattern of Na2CoH8S2O12 was simulated for a wavelength of 1.5418 Å.

Top 12 peaks for 15 to 90 degrees two-theta, low angle first:
2theta, I (rel.)
16.57, 13
19.95, 44
20.54, 10
21.44, 26
22.72, 13
24.17, 12
27.34, 16
27.82, 100
28.22, 16
34.88, 22
40.26, 14
43.71, 14

Atomic structure:
Cell: 5.4117 8.0274 10.8652 Å, 90.00 99.72 90.00°
Space group P2_1/c (No. 14)
Asymmetric unit:
Na1 0.1217 0.0803 0.3620 [4 per cell]
Co1 0.0000 0.0000 0.0000 [2 per cell]
H1 0.2198 0.6469 0.3420 [4 per cell]
H2 0.2354 0.7158 0.0123 [4 per cell]
H3 0.2380 0.0506 0.8171 [4 per cell]
H4 0.3311 0.6996 0.6399 [4 per cell]
S1 0.3830 0.2104 0.6367 [4 per cell]
O1 0.1218 0.5411 0.3326 [4 per cell]
O2 0.1752 0.7185 0.5786 [4 per cell]
O3 0.2109 0.0812 0.5785 [4 per cell]
O4 0.3311 0.1258 0.0743 [4 per cell]
O5 0.3508 0.6657 0.8713 [4 per cell]
O6 0.3674 0.2249 0.7732 [4 per cell]